No. 1
Structure and simulated X-ray powder pattern of BaH2CSNClO (the GGA-PBE geometry in Alexandria; Cu Ka).
No peak broadening, texture or thermal motion is included.

The 10 most intense peaks (10° ≤ 2θ ≤ 90°), by angle:
hkl	2θ (°)	intensity
1 0 2	17.3	100.0
0 1 3	22.5	81.5
1 0 4	22.9	55.6
1 1 1	24.1	81.9
0 1 5	28.5	68.6
1 1 5	32.3	67.7
0 2 0	37.2	44.6
2 1 3	37.9	59.3
1 0 8	38.3	49.4
1 1 7	39.0	51.6

Structural model:
```
data_BaH2CSNClO
_chemical_formula_sum 'Ba4 H8 C4 S4 N4 Cl4 O4'
_symmetry_space_group_name_H-M 'P 1'
_symmetry_Int_Tables_number 1
_cell_length_a 5.9370
_cell_length_b 4.8398
_cell_length_c 20.4966
_cell_angle_alpha 90.00
_cell_angle_beta 90.00
_cell_angle_gamma 90.00
loop_
_symmetry_equiv_pos_as_xyz
'x,y,z'
loop_
_atom_site_label
_atom_site_type_symbol
_atom_site_fract_x
_atom_site_fract_y
_atom_site_fract_z
Ba1 Ba 0.2362 0.2500 0.0832
Ba2 Ba 0.2638 0.7500 0.5832
Ba3 Ba 0.7362 0.2500 0.4168
Ba4 Ba 0.7638 0.7500 0.9168
H1 H 0.1208 0.0899 0.2428
H2 H 0.1208 0.4101 0.2428
H3 H 0.3792 0.5899 0.7428
H4 H 0.3792 0.9101 0.7428
H5 H 0.6208 0.0899 0.2572
H6 H 0.6208 0.4101 0.2572
H7 H 0.8792 0.5899 0.7572
H8 H 0.8792 0.9101 0.7572
C1 C 0.1814 0.2500 0.8537
C2 C 0.3186 0.7500 0.3537
C3 C 0.6814 0.2500 0.6463
C4 C 0.8186 0.7500 0.1463
S1 S 0.0597 0.7500 0.3268
S2 S 0.4403 0.2500 0.8268
S3 S 0.5597 0.7500 0.1732
S4 S 0.9403 0.2500 0.6732
N1 N 0.0070 0.7500 0.1269
N2 N 0.4930 0.2500 0.6269
N3 N 0.5070 0.7500 0.3731
N4 N 0.9930 0.2500 0.8731
Cl1 Cl 0.2356 0.2500 0.4791
Cl2 Cl 0.2644 0.7500 0.9791
Cl3 Cl 0.7356 0.2500 0.0209
Cl4 Cl 0.7644 0.7500 0.5209
O1 O 0.1568 0.2500 0.2152
O2 O 0.3432 0.7500 0.7152
O3 O 0.6568 0.2500 0.2848
O4 O 0.8432 0.7500 0.7848
```



No. 2
Structure and simulated X-ray powder pattern of ScH2Cl (the GGA-PBE geometry in Alexandria; Cu Ka).
No peak broadening, texture or thermal motion is included.

The 10 most intense peaks (10° ≤ 2θ ≤ 90°), by angle:
hkl	2θ (°)	intensity
0 0 4	28.3	40.1
1 1 2	34.3	100.0
2 0 0	44.6	22.0
2 0 4	53.6	23.8
1 1 6	54.0	23.3
2 2 0	64.9	6.1
2 2 4	72.2	9.3
3 1 2	75.5	15.9
2 0 8	76.4	7.7
3 1 6	89.3	10.5

Structural model:
```
data_ScH2Cl
_chemical_formula_sum 'Sc4 H8 Cl4'
_symmetry_space_group_name_H-M 'P 1'
_symmetry_Int_Tables_number 1
_cell_length_a 4.0649
_cell_length_b 4.0649
_cell_length_c 12.6203
_cell_angle_alpha 90.00
_cell_angle_beta 90.00
_cell_angle_gamma 90.00
loop_
_symmetry_equiv_pos_as_xyz
'x,y,z'
loop_
_atom_site_label
_atom_site_type_symbol
_atom_site_fract_x
_atom_site_fract_y
_atom_site_fract_z
Sc1 Sc 0.0000 0.2500 0.3750
Sc2 Sc 0.0000 0.7500 0.6250
Sc3 Sc 0.5000 0.2500 0.1250
Sc4 Sc 0.5000 0.7500 0.8750
H1 H 0.0000 0.0000 0.5000
H2 H 0.0000 0.5000 0.5000
H3 H 0.2500 0.2500 0.2500
H4 H 0.2500 0.7500 0.7500
H5 H 0.5000 0.0000 0.0000
H6 H 0.5000 0.5000 0.0000
H7 H 0.7500 0.2500 0.2500
H8 H 0.7500 0.7500 0.7500
Cl1 Cl 0.0000 0.2500 0.8750
Cl2 Cl 0.0000 0.7500 0.1250
Cl3 Cl 0.5000 0.2500 0.6250
Cl4 Cl 0.5000 0.7500 0.3750
```



No. 3
Structure and simulated X-ray powder pattern of RbCaBO3 (the GGA-PBE geometry in Alexandria; Cu Ka).
No peak broadening, texture or thermal motion is included.

The 10 most intense peaks (10° ≤ 2θ ≤ 90°), by angle:
hkl	2θ (°)	intensity
1 0 1	23.1	62.9
0 0 2	28.3	33.2
1 1 0	31.8	100.0
1 0 2	33.8	88.7
2 0 1	39.7	80.9
2 0 2	47.1	50.8
2 1 1	51.8	27.3
2 0 3	57.9	23.8
2 1 2	58.0	21.1
1 1 4	68.1	20.9

Structural model:
```
data_RbCaBO3
_chemical_formula_sum 'Rb2 Ca2 B2 O6'
_symmetry_space_group_name_H-M 'P 1'
_symmetry_Int_Tables_number 1
_cell_length_a 5.6201
_cell_length_b 5.6201
_cell_length_c 6.3161
_cell_angle_alpha 90.00
_cell_angle_beta 90.00
_cell_angle_gamma 120.00
loop_
_symmetry_equiv_pos_as_xyz
'x,y,z'
loop_
_atom_site_label
_atom_site_type_symbol
_atom_site_fract_x
_atom_site_fract_y
_atom_site_fract_z
Rb1 Rb 0.3333 0.6667 0.2500
Rb2 Rb 0.6667 0.3333 0.7500
Ca1 Ca 0.0000 0.0000 0.0000
Ca2 Ca 0.0000 0.0000 0.5000
B1 B 0.3333 0.6667 0.7500
B2 B 0.6667 0.3333 0.2500
O1 O 0.1889 0.3779 0.7500
O2 O 0.1889 0.8111 0.7500
O3 O 0.3779 0.1889 0.2500
O4 O 0.6221 0.8111 0.7500
O5 O 0.8111 0.1889 0.2500
O6 O 0.8111 0.6221 0.2500
```



No. 4
Structure and simulated X-ray powder pattern of Mg3Sc (the GGA-PBE geometry in Alexandria; Cu Ka).
No peak broadening, texture or thermal motion is included.

The 10 most intense peaks (10° ≤ 2θ ≤ 90°), by angle:
hkl	2θ (°)	intensity
1 3 1	33.7	10.9
0 4 0	33.9	21.7
2 2 1	35.7	100.0
0 0 2	35.9	28.3
0 4 1	38.5	11.2
0 4 2	50.2	13.3
4 0 0	52.6	7.7
2 6 1	61.9	7.2
2 2 3	64.4	16.0
4 0 2	65.3	7.6

Structural model:
```
data_Mg3Sc
_chemical_formula_sum 'Mg12 Sc4'
_symmetry_space_group_name_H-M 'P 1'
_symmetry_Int_Tables_number 1
_cell_length_a 6.9606
_cell_length_b 10.5640
_cell_length_c 5.0042
_cell_angle_alpha 90.00
_cell_angle_beta 90.00
_cell_angle_gamma 90.00
loop_
_symmetry_equiv_pos_as_xyz
'x,y,z'
loop_
_atom_site_label
_atom_site_type_symbol
_atom_site_fract_x
_atom_site_fract_y
_atom_site_fract_z
Mg1 Mg 0.0000 0.1679 0.2500
Mg2 Mg 0.0000 0.8321 0.7500
Mg3 Mg 0.2275 0.1009 0.7500
Mg4 Mg 0.2275 0.8991 0.2500
Mg5 Mg 0.2725 0.3991 0.2500
Mg6 Mg 0.2725 0.6009 0.7500
Mg7 Mg 0.5000 0.3321 0.7500
Mg8 Mg 0.5000 0.6679 0.2500
Mg9 Mg 0.7275 0.3991 0.2500
Mg10 Mg 0.7275 0.6009 0.7500
Mg11 Mg 0.7725 0.1009 0.7500
Mg12 Mg 0.7725 0.8991 0.2500
Sc1 Sc 0.0000 0.3679 0.7500
Sc2 Sc 0.0000 0.6321 0.2500
Sc3 Sc 0.5000 0.1321 0.2500
Sc4 Sc 0.5000 0.8679 0.7500
```



No. 5
Structure and simulated X-ray powder pattern of Mo3HPt (the GGA-PBE geometry in Alexandria; Cu Ka).
No peak broadening, texture or thermal motion is included.

The 10 most intense peaks (10° ≤ 2θ ≤ 90°), by angle:
hkl	2θ (°)	intensity
0 1 1	22.1	7.5
0 2 0	31.6	8.1
1 2 0	38.9	100.0
0 2 2	45.1	32.7
2 0 0	45.4	16.2
0 4 0	65.9	26.1
1 2 4	79.0	12.3
1 4 2	79.2	12.5
3 2 0	79.5	12.5
2 4 0	83.6	5.6

Structural model:
```
data_Mo3HPt
_chemical_formula_sum 'Mo6 H2 Pt2'
_symmetry_space_group_name_H-M 'P 1'
_symmetry_Int_Tables_number 1
_cell_length_a 3.9969
_cell_length_b 5.6715
_cell_length_c 5.6903
_cell_angle_alpha 90.00
_cell_angle_beta 90.00
_cell_angle_gamma 90.00
loop_
_symmetry_equiv_pos_as_xyz
'x,y,z'
loop_
_atom_site_label
_atom_site_type_symbol
_atom_site_fract_x
_atom_site_fract_y
_atom_site_fract_z
Mo1 Mo 0.0000 0.0000 0.0000
Mo2 Mo 0.0000 0.5000 0.5000
Mo3 Mo 0.5000 0.2482 0.2393
Mo4 Mo 0.5000 0.2482 0.7607
Mo5 Mo 0.5000 0.7518 0.2393
Mo6 Mo 0.5000 0.7518 0.7607
H1 H 0.5000 0.0000 0.5000
H2 H 0.5000 0.5000 0.5000
Pt1 Pt 0.0000 0.0000 0.5000
Pt2 Pt 0.0000 0.5000 0.0000
```



No. 6
Structure and simulated X-ray powder pattern of NaY2Ir2 (the GGA-PBE geometry in Alexandria; Cu Ka).
No peak broadening, texture or thermal motion is included.

The 10 most intense peaks (10° ≤ 2θ ≤ 90°), by angle:
hkl	2θ (°)	intensity
1 1 0	15.1	39.8
2 1 0	24.0	17.8
3 1 0	34.2	38.4
2 1 1	36.9	100.0
4 0 0	43.7	17.7
3 3 0	46.5	14.7
3 2 1	48.6	10.2
4 1 1	53.7	9.4
5 2 1	67.5	26.7
3 1 2	68.2	10.2

Structural model:
```
data_NaY2Ir2
_chemical_formula_sum 'Na2 Y4 Ir4'
_symmetry_space_group_name_H-M 'P 1'
_symmetry_Int_Tables_number 1
_cell_length_a 8.2794
_cell_length_b 8.2794
_cell_length_c 3.2310
_cell_angle_alpha 90.00
_cell_angle_beta 90.00
_cell_angle_gamma 90.00
loop_
_symmetry_equiv_pos_as_xyz
'x,y,z'
loop_
_atom_site_label
_atom_site_type_symbol
_atom_site_fract_x
_atom_site_fract_y
_atom_site_fract_z
Na1 Na 0.0000 0.0000 0.0000
Na2 Na 0.5000 0.5000 0.0000
Y1 Y 0.1462 0.3538 0.0000
Y2 Y 0.3538 0.8538 0.0000
Y3 Y 0.6462 0.1462 0.0000
Y4 Y 0.8538 0.6462 0.0000
Ir1 Ir 0.1462 0.6462 0.5000
Ir2 Ir 0.3538 0.1462 0.5000
Ir3 Ir 0.6462 0.8538 0.5000
Ir4 Ir 0.8538 0.3538 0.5000
```



No. 7
Structure and simulated X-ray powder pattern of CeSc2Ru3 (the GGA-PBE geometry in Alexandria; Cu Ka).
No peak broadening, texture or thermal motion is included.

The 10 most intense peaks (10° ≤ 2θ ≤ 90°), by angle:
hkl	2θ (°)	intensity
0 0 1	15.6	4.1
1 0 0	22.0	6.4
0 1 1	27.1	7.3
1 1 0	38.7	100.0
1 1 1	41.9	2.3
1 1 2	50.7	2.0
2 0 2	55.9	16.8
1 2 1	63.2	2.0
3 0 0	70.0	33.5
2 2 0	83.0	10.5

Structural model:
```
data_CeSc2Ru3
_chemical_formula_sum 'Ce1 Sc2 Ru3'
_symmetry_space_group_name_H-M 'P 1'
_symmetry_Int_Tables_number 1
_cell_length_a 4.6558
_cell_length_b 4.6558
_cell_length_c 5.6947
_cell_angle_alpha 90.00
_cell_angle_beta 90.00
_cell_angle_gamma 120.00
loop_
_symmetry_equiv_pos_as_xyz
'x,y,z'
loop_
_atom_site_label
_atom_site_type_symbol
_atom_site_fract_x
_atom_site_fract_y
_atom_site_fract_z
Ce1 Ce 0.0000 0.0000 0.0000
Sc1 Sc 0.3333 0.6667 0.6530
Sc2 Sc 0.6667 0.3333 0.3470
Ru1 Ru 0.0000 0.0000 0.5000
Ru2 Ru 0.3333 0.6667 0.1652
Ru3 Ru 0.6667 0.3333 0.8348
```



No. 8
Structure and simulated X-ray powder pattern of MnBRu2 (the GGA-PBE geometry in Alexandria; Cu Ka).
No peak broadening, texture or thermal motion is included.

The 10 most intense peaks (10° ≤ 2θ ≤ 90°), by angle:
hkl	2θ (°)	intensity
0 0 2	29.2	19.2
1 0 0	33.1	38.6
1 0 1	36.3	26.9
0 0 3	44.5	13.3
1 0 2	44.7	100.0
1 1 0	47.5	49.2
1 1 3	67.1	14.9
2 0 0	69.4	15.1
2 1 2	86.4	28.2
1 0 5	87.5	12.5

Structural model:
```
data_MnBRu2
_chemical_formula_sum 'Mn1 B1 Ru2'
_symmetry_space_group_name_H-M 'P 1'
_symmetry_Int_Tables_number 1
_cell_length_a 2.7090
_cell_length_b 2.7090
_cell_length_c 6.1135
_cell_angle_alpha 90.00
_cell_angle_beta 90.00
_cell_angle_gamma 90.00
loop_
_symmetry_equiv_pos_as_xyz
'x,y,z'
loop_
_atom_site_label
_atom_site_type_symbol
_atom_site_fract_x
_atom_site_fract_y
_atom_site_fract_z
Mn1 Mn 0.0000 0.0000 0.0000
B1 B 0.0000 0.0000 0.5000
Ru1 Ru 0.5000 0.5000 0.2866
Ru2 Ru 0.5000 0.5000 0.7134
```